# 1
Computed X-ray diffraction stick pattern
Compound: Cs2GaAu2
Radiation: Cu Kα (λ = 1.5418 Å)
Structure: DFT lattice parameters and positions (GGA-PBE)
Peak positions follow from Bragg's law for the DFT cell and can differ from measured ones.

Crystal structure
```
data_Cs2GaAu2
_cell_length_a 10.550
_cell_length_b 8.480
_cell_length_c 8.519
_cell_angle_alpha 90.00
_cell_angle_beta 104.49
_cell_angle_gamma 90.00
_space_group_name_H-M_alt 'P 1 21/c 1'
_space_group_IT_number 14
loop_
_space_group_symop_operation_xyz
'x,y,z'
'-x,-y,-z'
'-x,y+1/2,-z+1/2'
'x,-y+1/2,z+1/2'
loop_
_atom_site_label
_atom_site_fract_x
_atom_site_fract_y
_atom_site_fract_z
Cs1 0.077 0.224 0.031
Cs2 0.314 0.589 0.929
Ga1 0.418 0.083 0.865
Au1 0.177 0.547 0.279
Au2 0.443 0.181 0.171
```

Main lines, sorted by position (2θ = 5–70°):
d (Å)	Rel. int.	hkl
3.709	56.3	0 1 2
3.562	80.4	2 1 1
3.262	61.4	2 2 0
3.160	86.8	3 1 0
3.023	73.3	3 0 -2
2.986	100.0	1 2 -2
2.724	83.7	2 1 2
2.692	49.1	1 1 -3

# 2
Computed X-ray diffraction stick pattern
Compound: SrTcN3
Radiation: Cu Kα (λ = 1.5418 Å)
Structure: DFT lattice parameters and positions (GGA-PBE)
Peak positions follow from Bragg's law for the DFT cell and can differ from measured ones.

Crystal structure
```
data_SrTcN3
_cell_length_a 10.678
_cell_length_b 12.077
_cell_length_c 5.297
_cell_angle_alpha 90.00
_cell_angle_beta 90.06
_cell_angle_gamma 90.00
_space_group_name_H-M_alt 'C 1 2/c 1'
_space_group_IT_number 15
loop_
_space_group_symop_operation_xyz
'x,y,z'
'-x,-y,-z'
'-x,y,-z+1/2'
'x,-y,z+1/2'
'x+1/2,y+1/2,z'
'-x+1/2,-y+1/2,-z'
'-x+1/2,y+1/2,-z+1/2'
'x+1/2,-y+1/2,z+1/2'
loop_
_atom_site_label
_atom_site_fract_x
_atom_site_fract_y
_atom_site_fract_z
Sr1 0.250 0.106 0.199
Tc1 0.000 0.163 0.750
Tc2 0.000 0.338 0.250
N1 0.086 0.250 0.000
N2 0.117 0.080 0.618
N3 0.117 0.421 0.383
```

Main lines, sorted by position (2θ = 5–70°):
d (Å)	Rel. int.	hkl
4.000	15.4	2 2 0
3.192	100.0	2 2 1
3.019	13.3	0 4 0
2.669	12.2	4 0 0
2.648	12.1	0 0 2
1.882	14.8	4 0 -2
1.871	12.7	4 4 1
1.625	12.5	6 2 -1